Structure and calculated X-ray powder pattern of PmPrBr2 (the GGA-PBE geometry in Alexandria; Cu Kα, 1.54184 Å).
Neutral-atom scattering factors, no anomalous dispersion.

a = 3.7656 Å, b = 7.2466 Å, c = 9.6481 Å
α = 90.00°, β = 90.06°, γ = 90.00°
Fractional coordinates of all 8 atoms:
Pm 0.2495 0.0000 0.4241
Pm 0.7505 0.5000 0.5759
Pr 0.2517 0.1845 0.7988
Pr 0.7483 0.6845 0.2012
Br 0.2485 0.9790 0.0887
Br 0.2510 0.8032 0.6893
Br 0.7490 0.3032 0.3107
Br 0.7515 0.4790 0.9113

The 6 most intense peaks (2θ from 10° to 90°), by angle:
d [Å]	Position (°2θ)	intensity
4.016	22.1	364
3.341	26.7	1000
2.940	30.4	542
2.897	30.9	440
2.520	35.6	678
2.446	36.7	520